# Li3AlFe2O6
Simulated powder diffractogram, a wavelength of 1.5418 Å. Input: a structure optimized by DFT (PBE+U).
No peak broadening, texture or thermal motion is included.

Largest 6 diffraction maxima, in order of rising 2θ, 2θ = 15–90°:
| d_spacing | two_theta | intensity | (hkl) |
| --- | --- | --- | --- |
| 4.727 | 18.8 | 100 | 1 0 -1 |
| 3.978 | 22.3 | 30 | 1 -1 0 |
| 3.947 | 22.5 | 47 | 1 1 0 |
| 2.962 | 30.2 | 82 | 0 2 0 |
| 2.947 | 30.3 | 33 | -1 1 2 |
| 2.070 | 43.7 | 47 | 2 0 2 |

Cell and atoms:
```
data_Li3AlFe2O6
_chemical_formula_sum 'Li6 Al2 Fe4 O12'
_symmetry_space_group_name_H-M 'P -1'
_symmetry_Int_Tables_number 2
_symmetry_space_group_name_Hall '-P 1'
_cell_length_a 5.3795
_cell_length_b 5.9335
_cell_length_c 7.9414
_cell_angle_alpha 90.54
_cell_angle_beta 98.24
_cell_angle_gamma 90.37
loop_
_atom_site_label
_atom_site_type_symbol
_atom_site_fract_x
_atom_site_fract_y
_atom_site_fract_z
Li1 Li 0.0061 0.1669 0.2428
Li2 Li 0.1537 0.6605 0.0769
Li3 Li 0.3294 0.8420 0.4087
Al1 Al 0.4972 0.3315 0.2505
Fe1 Fe 0.1609 0.3243 0.5700
Fe2 Fe 0.3255 0.1712 0.9110
O1 O 0.0161 0.1672 0.7448
O2 O 0.1739 0.6547 0.5891
O3 O 0.1966 0.3299 0.0877
O4 O 0.3475 0.1870 0.4087
O5 O 0.3533 0.8356 0.9056
O6 O 0.4847 0.3579 0.7511
```